This entry pairs a crystal structure of Hf4In3Sn with its simulated powder XRD pattern. Radiation: a wavelength of 1.5418 Å. Structure: a DFT-relaxed cell (PBE, Alexandria).

Largest 12 diffraction maxima, by angle, 2θ from 5° to 70°:
- 20.70°, I = 2
- 22.73°, I = 3
- 27.99°, I = 2
- 35.07°, I = 100
- 37.78°, I = 20
- 42.12°, I = 30
- 43.46°, I = 1
- 48.39°, I = 1
- 51.34°, I = 1
- 57.85°, I = 23
- 61.09°, I = 10
- 66.47°, I = 15

Structural model:
```
data_Hf4In3Sn
_symmetry_space_group_name_H-M 'P 1'
_symmetry_Int_Tables_number 1
_symmetry_space_group_name_Hall 'P 1'
_cell_length_a 9.525
_cell_length_b 6.068
_cell_length_c 6.067
_cell_angle_alpha 90.00
_cell_angle_beta 90.00
_cell_angle_gamma 90.00
loop_
_atom_site_label
_atom_site_fract_x
_atom_site_fract_y
_atom_site_fract_z
Hf1 0.000 0.000 0.000
Hf2 0.000 0.500 0.499
Hf3 0.250 0.255 0.250
Hf4 0.250 0.745 0.750
Hf5 0.500 0.000 0.500
Hf6 0.500 0.500 0.999
Hf7 0.750 0.255 0.250
Hf8 0.750 0.745 0.750
In1 0.000 0.000 0.500
In2 0.250 0.244 0.750
In3 0.250 0.756 0.250
In4 0.500 0.000 0.000
In5 0.750 0.244 0.750
In6 0.750 0.756 0.250
Sn1 0.000 0.500 0.999
Sn2 0.500 0.500 0.499
```


This entry pairs a crystal structure of Hf5InSn with its simulated powder XRD pattern. Radiation: a wavelength of 1.5418 Å. Structure: a DFT-relaxed cell (PBE, Alexandria).

Largest 12 diffraction maxima, by angle, 2θ from 5° to 70°:
- 23.99°, I = 6
- 25.05°, I = 10
- 34.90°, I = 4
- 35.61°, I = 28
- 35.83°, I = 28
- 37.20°, I = 100
- 51.41°, I = 20
- 55.78°, I = 7
- 65.01°, I = 19
- 65.29°, I = 19
- 67.96°, I = 8
- 68.10°, I = 8

Structural model:
```
data_Hf5InSn
_symmetry_space_group_name_H-M 'P 1'
_symmetry_Int_Tables_number 1
_symmetry_space_group_name_Hall 'P 1'
_cell_length_a 7.836
_cell_length_b 7.836
_cell_length_c 7.836
_cell_angle_alpha 130.26
_cell_angle_beta 100.48
_cell_angle_gamma 99.90
loop_
_atom_site_label
_atom_site_fract_x
_atom_site_fract_y
_atom_site_fract_z
Hf1 0.254 0.000 0.754
Hf2 0.254 0.500 0.254
Hf3 0.256 0.277 0.521
Hf4 0.256 0.734 0.979
Hf5 0.488 0.238 0.250
Hf6 0.512 0.762 0.750
Hf7 0.744 0.266 0.021
Hf8 0.744 0.723 0.479
Hf9 0.746 0.000 0.246
Hf10 0.746 0.500 0.746
In1 0.001 0.251 0.750
In2 0.999 0.749 0.250
Sn1 0.000 0.000 0.000
Sn2 0.500 0.000 0.500
```


This entry pairs a crystal structure of Hf6InTc5 with its simulated powder XRD pattern. Radiation: a wavelength of 1.5418 Å. Structure: a DFT-relaxed cell (PBE, Alexandria).

Largest 12 diffraction maxima, by angle, 2θ from 5° to 70°:
- 26.59°, I = 5
- 27.19°, I = 8
- 38.39°, I = 100
- 38.76°, I = 25
- 38.90°, I = 24
- 47.63°, I = 2
- 47.74°, I = 2
- 54.76°, I = 8
- 56.08°, I = 17
- 63.11°, I = 2
- 69.14°, I = 16
- 69.93°, I = 17

Structural model:
```
data_Hf6InTc5
_symmetry_space_group_name_H-M 'P 1'
_symmetry_Int_Tables_number 1
_symmetry_space_group_name_Hall 'P 1'
_cell_length_a 8.055
_cell_length_b 8.055
_cell_length_c 8.055
_cell_angle_alpha 146.48
_cell_angle_beta 130.81
_cell_angle_gamma 60.84
loop_
_atom_site_label
_atom_site_fract_x
_atom_site_fract_y
_atom_site_fract_z
Hf1 0.067 0.327 0.740
Hf2 0.229 0.000 0.229
Hf3 0.413 0.673 0.740
Hf4 0.587 0.327 0.260
Hf5 0.771 0.000 0.771
Hf6 0.933 0.673 0.260
In1 0.500 0.500 0.000
Tc1 0.000 0.500 0.500
Tc2 0.168 0.168 0.000
Tc3 0.339 0.839 0.500
Tc4 0.661 0.161 0.500
Tc5 0.832 0.832 0.000
```


This entry pairs a crystal structure of HfTi3In3 with its simulated powder XRD pattern. Radiation: a wavelength of 1.5418 Å. Structure: a DFT-relaxed cell (PBE, Alexandria).

Largest 12 diffraction maxima, by angle, 2θ from 5° to 70°:
- 12.53°, I = 24
- 28.62°, I = 11
- 31.35°, I = 17
- 33.56°, I = 25
- 37.15°, I = 26
- 38.22°, I = 5
- 38.51°, I = 100
- 46.34°, I = 4
- 50.92°, I = 15
- 54.36°, I = 4
- 60.01°, I = 17
- 67.87°, I = 18

Structural model:
```
data_HfTi3In3
_symmetry_space_group_name_H-M 'P 1'
_symmetry_Int_Tables_number 1
_symmetry_space_group_name_Hall 'P 1'
_cell_length_a 8.157
_cell_length_b 8.157
_cell_length_c 4.840
_cell_angle_alpha 90.00
_cell_angle_beta 90.00
_cell_angle_gamma 120.00
loop_
_atom_site_label
_atom_site_fract_x
_atom_site_fract_y
_atom_site_fract_z
Hf1 0.333 0.667 0.250
Hf2 0.667 0.333 0.750
Ti1 0.022 0.803 0.250
Ti2 0.197 0.220 0.250
Ti3 0.220 0.022 0.750
Ti4 0.780 0.978 0.250
Ti5 0.803 0.780 0.750
Ti6 0.978 0.197 0.750
In1 0.082 0.630 0.750
In2 0.370 0.452 0.750
In3 0.452 0.082 0.250
In4 0.548 0.918 0.750
In5 0.630 0.548 0.250
In6 0.918 0.370 0.250
```


This entry pairs a crystal structure of Hf5TiIn5 with its simulated powder XRD pattern. Radiation: a wavelength of 1.5418 Å. Structure: a DFT-relaxed cell (PBE, Alexandria).

Largest 12 diffraction maxima, by angle, 2θ from 5° to 70°:
- 22.43°, I = 14
- 30.03°, I = 13
- 31.86°, I = 52
- 33.75°, I = 96
- 35.02°, I = 33
- 38.60°, I = 100
- 40.90°, I = 43
- 47.09°, I = 14
- 48.48°, I = 21
- 60.84°, I = 14
- 63.60°, I = 28
- 65.25°, I = 18

Structural model:
```
data_Hf5TiIn5
_symmetry_space_group_name_H-M 'P 1'
_symmetry_Int_Tables_number 1
_symmetry_space_group_name_Hall 'P 1'
_cell_length_a 8.905
_cell_length_b 8.905
_cell_length_c 5.952
_cell_angle_alpha 109.46
_cell_angle_beta 109.46
_cell_angle_gamma 34.71
loop_
_atom_site_label
_atom_site_fract_x
_atom_site_fract_y
_atom_site_fract_z
Hf1 0.000 0.000 0.000
Hf2 0.326 0.326 0.326
Hf3 0.387 0.387 0.887
Hf4 0.613 0.613 0.113
Hf5 0.674 0.674 0.674
Ti1 0.000 0.000 0.500
In1 0.165 0.165 0.420
In2 0.165 0.165 0.910
In3 0.500 0.500 0.500
In4 0.835 0.835 0.090
In5 0.835 0.835 0.580
```